(1)
Structure and calculated powder X-ray diffraction pattern of Dy12TmSc5 (a structure optimized by DFT (PBE); Cu Kα, 1.54184 Å).
Intensities are scaled so that the largest is 1000.

The 10 most intense peaks (2θ = 10–90°), by angle:
| 2θ/deg | d/Å | I (rel.) |
| --- | --- | --- |
| 12.16 | 7.281 | 95 |
| 26.35 | 3.382 | 110 |
| 31.65 | 2.827 | 1000 |
| 36.55 | 2.459 | 342 |
| 37.04 | 2.427 | 162 |
| 52.64 | 1.739 | 119 |
| 53.02 | 1.727 | 229 |
| 62.74 | 1.481 | 279 |
| 63.41 | 1.467 | 129 |
| 66.11 | 1.413 | 117 |

Structure:
Cell lengths 7.780, 7.780, 14.562 Å; angles 90.00, 90.00, 143.18 degrees
Positions (direct):
Dy 0.000 0.000 0.161
Dy 0.000 0.000 0.839
Dy 0.167 0.833 0.336
Dy 0.167 0.833 0.664
Dy 0.333 0.667 0.160
Dy 0.333 0.667 0.840
Dy 0.500 0.500 0.335
Dy 0.500 0.500 0.665
Dy 0.667 0.333 0.160
Dy 0.667 0.333 0.840
Dy 0.833 0.167 0.336
Dy 0.833 0.167 0.664
Tm 0.000 0.000 0.500
Sc 0.167 0.833 0.000
Sc 0.332 0.668 0.500
Sc 0.500 0.500 0.000
Sc 0.668 0.332 0.500
Sc 0.833 0.167 0.000

=====

(2)
Structure and calculated powder X-ray diffraction pattern of BaMgZn4 (a structure optimized by DFT (PBE); Cu Kα, 1.54184 Å).
Intensities are scaled so that the largest is 1000.

The 10 most intense peaks (2θ = 10–90°), by angle:
| 2θ/deg | d/Å | I (rel.) |
| --- | --- | --- |
| 24.01 | 3.706 | 548 |
| 30.99 | 2.886 | 451 |
| 32.79 | 2.731 | 1000 |
| 34.18 | 2.623 | 218 |
| 35.32 | 2.541 | 288 |
| 38.94 | 2.313 | 757 |
| 43.28 | 2.091 | 284 |
| 45.85 | 1.979 | 197 |
| 49.33 | 1.847 | 189 |
| 83.66 | 1.156 | 251 |

Structure:
Cell lengths 4.181, 8.006, 8.329 Å; angles 90.00, 90.00, 90.00 degrees
Positions (direct):
Ba 0.000 0.000 0.000
Ba 0.500 0.500 0.500
Mg 0.000 0.500 0.000
Mg 0.500 0.000 0.500
Zn 0.000 0.198 0.342
Zn 0.000 0.198 0.658
Zn 0.000 0.802 0.342
Zn 0.000 0.802 0.658
Zn 0.500 0.302 0.158
Zn 0.500 0.302 0.842
Zn 0.500 0.698 0.158
Zn 0.500 0.698 0.842

=====

(3)
Structure and calculated powder X-ray diffraction pattern of Tl5Pt3 (a structure optimized by DFT (PBE); Cu Kα, 1.54184 Å).
Intensities are scaled so that the largest is 1000.

The 10 most intense peaks (2θ = 10–90°), by angle:
| 2θ/deg | d/Å | I (rel.) |
| --- | --- | --- |
| 29.04 | 3.075 | 533 |
| 29.48 | 3.030 | 1000 |
| 30.43 | 2.937 | 484 |
| 34.07 | 2.632 | 928 |
| 35.39 | 2.536 | 762 |
| 36.45 | 2.465 | 561 |
| 37.29 | 2.411 | 396 |
| 40.87 | 2.208 | 394 |
| 42.33 | 2.135 | 404 |
| 46.57 | 1.950 | 460 |

Structure:
Cell lengths 6.518, 6.899, 8.792 Å; angles 82.78, 88.20, 84.58 degrees
Positions (direct):
Tl 0.013 0.307 0.139
Tl 0.117 0.808 0.285
Tl 0.271 0.459 0.600
Tl 0.421 0.928 0.674
Tl 0.486 0.280 0.956
Tl 0.514 0.720 0.044
Tl 0.579 0.072 0.326
Tl 0.729 0.541 0.400
Tl 0.883 0.192 0.715
Tl 0.987 0.693 0.861
Pt 0.152 0.132 0.450
Pt 0.189 0.020 0.931
Pt 0.353 0.443 0.275
Pt 0.647 0.557 0.725
Pt 0.811 0.980 0.069
Pt 0.848 0.868 0.550